1.
# K2U2MnS6
Theoretical powder X-ray diffraction pattern, copper Kα. Input: a PBE-relaxed structure.
No peak broadening, texture or thermal motion is included.

Crystal structure
Cell lengths 6.7793, 11.7654, 7.8552 Å; angles 90.00, 106.25, 90.00 degrees
Space group C2/m (No. 12)
Inequivalent atoms, fractional coordinates:
1 K 0.0000 0.1645 0.0000 x4
2 U 0.0000 0.3345 0.5000 x4
3 Mn 0.0000 0.0000 0.5000 x2
4 S 0.2266 0.1656 0.6925 x8
5 S 0.2421 0.5000 0.6895 x4

Principal peaks in the range 2θ from 10° to 80°, sorted by position:
- 11.73 deg, intensity 100, (0 0 1)
- 26.56 deg, intensity 29, (1 3 0)
- 27.44 deg, intensity 26, (1 3 -1)
- 30.66 deg, intensity 53, (1 3 1)
- 30.87 deg, intensity 25, (2 0 -2)
- 38.38 deg, intensity 16, (1 3 2)
- 41.65 deg, intensity 19, (1 3 -3)
- 46.35 deg, intensity 25, (0 6 0)

=====

2.
# BaSr3Ga
Theoretical powder X-ray diffraction pattern, copper Kα. Input: a PBE-relaxed structure.
No peak broadening, texture or thermal motion is included.

Crystal structure
Cell lengths 13.4786, 5.5956, 13.2130 Å; angles 90.00, 113.00, 90.00 degrees
Space group C2/m (No. 12)
Inequivalent atoms, fractional coordinates:
1 Ba 0.1262 0.0000 0.1964 x4
2 Sr 0.0198 0.5000 0.6641 x4
3 Sr 0.1450 0.5000 0.9704 x4
4 Sr 0.1747 0.0000 0.5696 x4
5 Ga 0.1346 0.0000 0.8049 x4

Principal peaks in the range 2θ from 10° to 80°, sorted by position:
- 24.51 deg, intensity 40, (1 1 2)
- 25.45 deg, intensity 55, (3 1 -1)
- 25.78 deg, intensity 100, (1 1 -3)
- 26.19 deg, intensity 31, (3 1 -2)
- 26.80 deg, intensity 51, (3 1 0)
- 28.60 deg, intensity 30, (4 0 -3)
- 28.83 deg, intensity 35, (4 0 0)
- 31.99 deg, intensity 60, (0 2 0)

=====

3.
# Ba5Hg2Bi5
Theoretical powder X-ray diffraction pattern, copper Kα. Input: a PBE-relaxed structure.
No peak broadening, texture or thermal motion is included.

Crystal structure
Cell lengths 18.0742, 5.0001, 13.8216 Å; angles 90.00, 130.37, 90.00 degrees
Space group C2/m (No. 12)
Inequivalent atoms, fractional coordinates:
1 Ba 0.0000 0.0000 0.0000 x2
2 Ba 0.0945 0.0000 0.4020 x4
3 Ba 0.1897 0.0000 0.8146 x4
4 Hg 0.1388 0.5000 0.2401 x4
5 Bi 0.0000 0.5000 0.5000 x2
6 Bi 0.0744 0.5000 0.8776 x4
7 Bi 0.2351 0.5000 0.6613 x4

Principal peaks in the range 2θ from 10° to 80°, sorted by position:
- 26.47 deg, intensity 79, (3 1 -3)
- 27.18 deg, intensity 38, (2 0 2)
- 28.15 deg, intensity 84, (1 1 -3)
- 30.94 deg, intensity 34, (6 0 -4)
- 33.06 deg, intensity 100, (5 1 -1)
- 35.92 deg, intensity 46, (0 2 0)
- 39.77 deg, intensity 28, (4 0 -6)
- 53.95 deg, intensity 27, (9 1 -7)

=====

4.
# K6Rb3Hg2
Theoretical powder X-ray diffraction pattern, copper Kα. Input: a PBE-relaxed structure.
No peak broadening, texture or thermal motion is included.

Crystal structure
Cell lengths 6.0656, 6.0656, 38.7943 Å; angles 90.00, 90.00, 90.00 degrees
Space group I4/mmm (No. 139)
Inequivalent atoms, fractional coordinates:
1 K 0.0000 0.0000 0.1741 x4
2 K 0.0000 0.5000 0.0902 x8
3 Rb 0.0000 0.0000 0.2920 x4
4 Rb 0.0000 0.0000 0.5000 x2
5 Hg 0.0000 0.0000 0.0382 x4

Principal peaks in the range 2θ from 10° to 80°, sorted by position:
- 14.78 deg, intensity 95, (1 0 1)
- 16.14 deg, intensity 57, (1 0 3)
- 20.71 deg, intensity 87, (1 1 0)
- 22.67 deg, intensity 100, (1 1 4)
- 24.91 deg, intensity 51, (1 1 6)
- 25.35 deg, intensity 84, (1 0 9)
- 29.45 deg, intensity 93, (2 0 0)
- 39.24 deg, intensity 52, (2 1 9)

=====

5.
# Sr2GaHg16
Theoretical powder X-ray diffraction pattern, copper Kα. Input: a PBE-relaxed structure.
No peak broadening, texture or thermal motion is included.

Crystal structure
Cell lengths 10.1485, 10.1485, 17.3779 Å; angles 90.00, 90.00, 120.00 degrees
Space group R3m (No. 160, hexagonal axes)
Inequivalent atoms, fractional coordinates:
1 Sr 0.0000 0.0000 0.0000 x3
2 Sr 0.0000 0.0000 0.3211 x3
3 Ga 0.0000 0.0000 0.6219 x3
4 Hg 0.0000 0.0000 0.7895 x3
5 Hg 0.0001 0.3030 0.6812 x18
6 Hg 0.0385 0.5192 0.5443 x9
7 Hg 0.0906 0.5453 0.8193 x9
8 Hg 0.1017 0.5508 0.1670 x9

Principal peaks in the range 2θ from 10° to 80°, sorted by position:
- 28.90 deg, intensity 17, (0 2 4)
- 30.51 deg, intensity 29, (3 0 0)
- 30.87 deg, intensity 23, (0 0 6)
- 32.85 deg, intensity 17, (2 0 5)
- 34.30 deg, intensity 100, (0 3 3)
- 35.69 deg, intensity 13, (1 1 6)
- 38.75 deg, intensity 16, (2 2 3)
- 54.23 deg, intensity 16, (3 3 0)

=====

6.
# ScIr2W
Theoretical powder X-ray diffraction pattern, copper Kα. Input: a PBE-relaxed structure.
No peak broadening, texture or thermal motion is included.

Crystal structure
Cell lengths 2.8816, 4.5891, 4.9034 Å; angles 90.00, 96.51, 90.00 degrees
Space group Pm (No. 6)
Inequivalent atoms, fractional coordinates:
1 Sc 0.0000 0.0000 0.0000 x1
2 Ir 0.3997 0.0000 0.5188 x1
3 Ir 0.4686 0.5000 0.8947 x1
4 W 0.8437 0.5000 0.3960 x1

Principal peaks in the range 2θ from 10° to 80°, sorted by position:
- 18.21 deg, intensity 24, (0 0 1)
- 36.90 deg, intensity 44, (0 0 2)
- 37.01 deg, intensity 22, (1 1 0)
- 39.26 deg, intensity 67, (0 2 0)
- 39.84 deg, intensity 100, (1 1 -1)
- 41.99 deg, intensity 55, (0 1 2)
- 43.19 deg, intensity 78, (1 1 1)
- 54.98 deg, intensity 28, (0 2 2)

=====

7.
# YMg3Tl2F12
Theoretical powder X-ray diffraction pattern, copper Kα. Input: a PBE-relaxed structure.
No peak broadening, texture or thermal motion is included.

Crystal structure
Cell lengths 7.4414, 7.4414, 15.4039 Å; angles 90.00, 90.00, 120.00 degrees
Space group R-3m (No. 166, hexagonal axes)
Inequivalent atoms, fractional coordinates:
1 Y 0.0000 0.0000 0.0000 x3
2 Mg 0.0000 0.5000 0.5000 x9
3 Tl 0.0000 0.0000 0.3936 x6
4 F 0.0436 0.5218 0.3719 x18
5 F 0.0969 0.5485 0.8006 x18

Principal peaks in the range 2θ from 10° to 80°, sorted by position:
- 23.92 deg, intensity 100, (1 1 0)
- 26.97 deg, intensity 40, (1 0 4)
- 28.30 deg, intensity 45, (0 2 1)
- 29.65 deg, intensity 48, (1 1 3)
- 32.21 deg, intensity 48, (0 1 5)
- 40.51 deg, intensity 43, (2 0 5)
- 47.59 deg, intensity 44, (1 2 5)
- 48.96 deg, intensity 38, (2 2 0)

=====

8.
# Dy3HfAl8
Theoretical powder X-ray diffraction pattern, copper Kα. Input: a PBE-relaxed structure.
No peak broadening, texture or thermal motion is included.

Crystal structure
Cell lengths 5.4823, 5.4823, 26.9435 Å; angles 90.00, 90.00, 120.00 degrees
Space group R3m (No. 160, hexagonal axes)
Inequivalent atoms, fractional coordinates:
1 Dy 0.0000 0.0000 0.0000 x3
2 Dy 0.0000 0.0000 0.1256 x3
3 Dy 0.0000 0.0000 0.6241 x3
4 Hf 0.0000 0.0000 0.5000 x3
5 Al 0.0000 0.0000 0.3123 x3
6 Al 0.0000 0.0000 0.8127 x3
7 Al 0.0016 0.5008 0.0643 x9
8 Al 0.1670 0.3340 0.8941 x9

Principal peaks in the range 2θ from 10° to 80°, sorted by position:
- 19.81 deg, intensity 65, (0 1 2)
- 32.63 deg, intensity 100, (1 1 0)
- 38.47 deg, intensity 97, (1 0 10)
- 58.12 deg, intensity 10, (1 0 16)
- 58.27 deg, intensity 29, (3 0 0)
- 62.17 deg, intensity 24, (2 1 10)
- 68.29 deg, intensity 10, (0 2 16)
- 68.45 deg, intensity 10, (2 2 0)